CaLaFeMoO6: calculated powder diffraction line list (CuKα), based on the GGA+U geometry in the Materials Project.

Most intense lines, 2θ from 15° to 90°, most intense first:
31.98 deg, d = 2.799 Å, rel. 100, hkl 1 1 -3
31.68 deg, d = 2.824 Å, rel. 69, hkl 1 1 1
45.40 deg, d = 1.998 Å, rel. 38, hkl 2 2 -2
19.23 deg, d = 4.616 Å, rel. 37, hkl 0 1 1
31.41 deg, d = 2.848 Å, rel. 32, hkl 0 2 0
56.57 deg, d = 1.627 Å, rel. 24, hkl 3 1 -1
45.90 deg, d = 1.977 Å, rel. 20, hkl 0 0 4
57.15 deg, d = 1.612 Å, rel. 16, hkl 3 1 -5

Crystal structure
Cell lengths 5.605, 5.696, 9.633 Å; angles 90.00, 124.81, 90.00 degrees
Space group Pc (No. 7)
Unique sites:
Ca 0.000 0.203 0.000 x2
La 0.470 0.290 0.497 x2
Fe 0.235 0.250 0.750 x2
Mo 0.734 0.249 0.248 x2
O 0.083 0.033 0.300 x2
O 0.381 0.463 0.197 x2
O 0.481 0.038 0.705 x2
O 0.578 0.273 0.999 x2
O 0.900 0.222 0.500 x2
O 0.986 0.460 0.797 x2


Li9Mn2Co5O16: calculated powder diffraction line list (CuKα), based on the GGA+U geometry in the Materials Project.

Most intense lines, 2θ from 15° to 90°, most intense first:
18.33 deg, d = 4.840 Å, rel. 100, hkl 8 0 0
43.76 deg, d = 2.068 Å, rel. 56, hkl 11 1 -1
42.61 deg, d = 2.122 Å, rel. 30, hkl 10 0 2
36.10 deg, d = 2.488 Å, rel. 27, hkl 3 1 -1
35.10 deg, d = 2.557 Å, rel. 16, hkl 2 0 2
62.61 deg, d = 1.484 Å, rel. 15, hkl 1 1 -3
62.84 deg, d = 1.479 Å, rel. 15, hkl 21 1 1
47.54 deg, d = 1.913 Å, rel. 10, hkl 13 1 1

Crystal structure
Cell lengths 38.739, 2.896, 5.183 Å; angles 90.00, 91.82, 90.00 degrees
Space group Cm (No. 8)
Unique sites:
Li 0.000 0.000 0.000 x2
Li 0.000 0.500 0.498 x2
Li 0.130 0.000 0.389 x2
Li 0.130 0.500 0.890 x2
Li 0.254 0.000 0.761 x2
Li 0.254 0.500 0.262 x2
Li 0.380 0.000 0.144 x2
Li 0.381 0.500 0.644 x2
Li 0.441 0.500 0.322 x2
Mn 0.065 0.500 0.196 x2
Mn 0.066 0.000 0.696 x2
Co 0.192 0.000 0.075 x2
Co 0.192 0.500 0.575 x2
Co 0.317 0.000 0.449 x2
Co 0.317 0.500 0.949 x2
Co 0.441 0.000 0.824 x2
O 0.036 0.000 0.325 x2
O 0.037 0.500 0.824 x2
O 0.095 0.000 0.070 x2
O 0.095 0.500 0.566 x2
O 0.162 0.500 0.231 x2
O 0.163 0.000 0.729 x2
O 0.220 0.000 0.421 x2
O 0.221 0.500 0.918 x2
O 0.288 0.000 0.107 x2
O 0.288 0.500 0.605 x2
O 0.346 0.000 0.795 x2
O 0.347 0.500 0.293 x2
O 0.414 0.000 0.532 x2
O 0.414 0.500 0.964 x2
O 0.468 0.000 0.117 x2
O 0.468 0.500 0.684 x2


MgVAg3O4: calculated powder diffraction line list (CuKα), based on the GGA+U geometry in the Materials Project.

Most intense lines, 2θ from 15° to 90°, most intense first:
19.12 deg, d = 4.641 Å, rel. 100, hkl 0 0 1
32.03 deg, d = 2.795 Å, rel. 82, hkl 2 2 -1
37.83 deg, d = 2.378 Å, rel. 43, hkl 2 2 -2
37.31 deg, d = 2.410 Å, rel. 38, hkl 2 2 0
34.72 deg, d = 2.584 Å, rel. 36, hkl 0 4 0
25.80 deg, d = 3.453 Å, rel. 30, hkl 0 2 1
38.81 deg, d = 2.320 Å, rel. 19, hkl 0 0 2
55.32 deg, d = 1.661 Å, rel. 19, hkl 4 0 -2

Crystal structure
Cell lengths 6.646, 10.334, 5.660 Å; angles 90.00, 124.93, 90.00 degrees
Space group Cm (No. 8)
Unique sites:
Mg 0.000 0.000 0.000 x2
V 0.326 0.000 0.643 x2
Ag 0.118 0.500 0.313 x2
Ag 0.392 0.268 0.355 x4
O 0.141 0.500 0.772 x2
O 0.155 0.124 0.335 x4
O 0.211 0.000 0.859 x2


Na2FeO3: calculated powder diffraction line list (CuKα), based on the GGA+U geometry in the Materials Project.

Most intense lines, 2θ from 15° to 90°, most intense first:
24.03 deg, d = 3.703 Å, rel. 100, hkl 1 1 2
32.20 deg, d = 2.780 Å, rel. 96, hkl 2 0 0
33.51 deg, d = 2.674 Å, rel. 78, hkl 1 3 2
16.21 deg, d = 5.469 Å, rel. 64, hkl 0 2 0
46.14 deg, d = 1.968 Å, rel. 31, hkl 2 0 4
37.01 deg, d = 2.429 Å, rel. 29, hkl 1 1 4
43.88 deg, d = 2.063 Å, rel. 23, hkl 0 2 5
36.60 deg, d = 2.455 Å, rel. 18, hkl 0 4 2

Crystal structure
Cell lengths 5.557, 10.938, 11.146 Å; angles 90.00, 90.00, 90.00 degrees
Space group Cmce (No. 64)
Unique sites:
Na 0.000 0.037 0.143 x8
Na 0.000 0.124 0.583 x8
Fe 0.000 0.242 0.344 x8
O 0.000 0.079 0.358 x8
O 0.000 0.156 0.967 x8
O 0.250 0.199 0.750 x8


TiFe3O6: calculated powder diffraction line list (CuKα), based on the GGA+U geometry in the Materials Project.

Most intense lines, 2θ from 15° to 90°, most intense first:
32.58 deg, d = 2.748 Å, rel. 100, hkl 0 1 20
34.95 deg, d = 2.568 Å, rel. 75, hkl 1 1 0
53.07 deg, d = 1.726 Å, rel. 55, hkl 2 -1 30
48.52 deg, d = 1.876 Å, rel. 39, hkl 2 0 20
62.67 deg, d = 1.482 Å, rel. 35, hkl 3 0 0
61.18 deg, d = 1.515 Å, rel. 33, hkl 3 -2 20
23.71 deg, d = 3.752 Å, rel. 32, hkl 1 0 10
40.10 deg, d = 2.249 Å, rel. 22, hkl 1 1 15

Crystal structure
Cell lengths 5.1351, 5.1351, 69.9098 Å; angles 90.00, 90.00, 120.00 degrees
Space group R3 (No. 146, hexagonal axes)
Unique sites:
Ti 0.0000 0.0000 0.0000 x3
Ti 0.0000 0.0000 0.0590 x3
Ti 0.0000 0.0000 0.1999 x3
Ti 0.0000 0.0000 0.5999 x3
Ti 0.0000 0.0000 0.7998 x3
Fe 0.0000 0.0000 0.1009 x3
Fe 0.0000 0.0000 0.1584 x3
Fe 0.0000 0.0000 0.2583 x3
Fe 0.0000 0.0000 0.3002 x3
Fe 0.0000 0.0000 0.3594 x3
Fe 0.0000 0.0000 0.4005 x3
Fe 0.0000 0.0000 0.4586 x3
Fe 0.0000 0.0000 0.5000 x3
Fe 0.0000 0.0000 0.5583 x3
Fe 0.0000 0.0000 0.6584 x3
Fe 0.0000 0.0000 0.6996 x3
Fe 0.0000 0.0000 0.7581 x3
Fe 0.0000 0.0000 0.8584 x3
Fe 0.0000 0.0000 0.9001 x3
Fe 0.0000 0.0000 0.9583 x3
O 0.0019 0.7010 0.7798 x9
O 0.0048 0.7013 0.1798 x9
O 0.0057 0.7019 0.5798 x9
O 0.0064 0.7028 0.9799 x9
O 0.0104 0.3575 0.1459 x9
O 0.0110 0.3575 0.3460 x9
O 0.0111 0.3590 0.5459 x9
O 0.0110 0.3594 0.9460 x9
O 0.0236 0.6792 0.0462 x9
O 0.0353 0.3649 0.7456 x9


Please write out number 4 again, unchanged.
Na2FeO3: calculated powder diffraction line list (CuKα), based on the GGA+U geometry in the Materials Project.

Most intense lines, 2θ from 15° to 90°, most intense first:
24.03 deg, d = 3.703 Å, rel. 100, hkl 1 1 2
32.20 deg, d = 2.780 Å, rel. 96, hkl 2 0 0
33.51 deg, d = 2.674 Å, rel. 78, hkl 1 3 2
16.21 deg, d = 5.469 Å, rel. 64, hkl 0 2 0
46.14 deg, d = 1.968 Å, rel. 31, hkl 2 0 4
37.01 deg, d = 2.429 Å, rel. 29, hkl 1 1 4
43.88 deg, d = 2.063 Å, rel. 23, hkl 0 2 5
36.60 deg, d = 2.455 Å, rel. 18, hkl 0 4 2

Crystal structure
Cell lengths 5.557, 10.938, 11.146 Å; angles 90.00, 90.00, 90.00 degrees
Space group Cmce (No. 64)
Unique sites:
Na 0.000 0.037 0.143 x8
Na 0.000 0.124 0.583 x8
Fe 0.000 0.242 0.344 x8
O 0.000 0.079 0.358 x8
O 0.000 0.156 0.967 x8
O 0.250 0.199 0.750 x8